The following is a simulated XRD peak list of CdPbS2. It was derived from a PBE-relaxed structure, using Cu Kα (weighted mean of Kα1 and Kα2).
Kinematic intensities with the Lorentz-polarization factor, no thermal factor.

Cell and atoms:
```
data_CdPbS2
_chemical_formula_sum 'Cd1 Pb1 S2'
_cell_length_a 4.092
_cell_length_b 4.092
_cell_length_c 5.794
_cell_angle_alpha 90.00
_cell_angle_beta 90.00
_cell_angle_gamma 90.00
_symmetry_space_group_name_H-M 'P 1'
_symmetry_Int_Tables_number 1
loop_
_symmetry_equiv_pos_as_xyz
'x,y,z'
loop_
_atom_site_label
_atom_site_type_symbol
_atom_site_fract_x
_atom_site_fract_y
_atom_site_fract_z
_atom_site_occupancy
Cd1 Cd 0.000 0.000 0.000 1
Pb1 Pb 0.500 0.500 0.500 1
S1 S 0.000 0.000 0.500 1
S2 S 0.500 0.500 0.000 1
```

The 12 most intense peaks (10 to 90 degrees two-theta), most intense first:
| d/Å | Rel. int. |
| --- | --- |
| 2.895 | 100 |
| 3.342 | 81 |
| 2.047 | 73 |
| 1.745 | 41 |
| 1.294 | 33 |
| 1.671 | 25 |
| 1.182 | 25 |
| 1.328 | 17 |
| 5.794 | 9 |
| 4.092 | 8 |
| 1.447 | 8 |
| 1.115 | 7 |


The following is a simulated XRD peak list of CdPbS2. It was derived from a PBE-relaxed structure, using Cu Kα (weighted mean of Kα1 and Kα2).
Kinematic intensities with the Lorentz-polarization factor, no thermal factor.

Cell and atoms:
```
data_CdPbS2
_chemical_formula_sum 'Cd1 Pb1 S2'
_cell_length_a 7.029
_cell_length_b 7.029
_cell_length_c 7.029
_cell_angle_alpha 33.73
_cell_angle_beta 33.73
_cell_angle_gamma 33.73
_symmetry_space_group_name_H-M 'P 1'
_symmetry_Int_Tables_number 1
loop_
_symmetry_equiv_pos_as_xyz
'x,y,z'
loop_
_atom_site_label
_atom_site_type_symbol
_atom_site_fract_x
_atom_site_fract_y
_atom_site_fract_z
_atom_site_occupancy
Cd1 Cd 0.000 0.000 0.000 1
Pb1 Pb 0.500 0.500 0.500 1
S1 S 0.259 0.259 0.259 1
S2 S 0.741 0.741 0.741 1
```

The 12 most intense peaks (10 to 90 degrees two-theta), most intense first:
| d/Å | Rel. int. |
| --- | --- |
| 2.879 | 100 |
| 3.328 | 61 |
| 2.039 | 37 |
| 2.032 | 36 |
| 1.737 | 31 |
| 3.311 | 21 |
| 1.664 | 19 |
| 1.289 | 16 |
| 1.285 | 15 |
| 1.176 | 12 |
| 1.439 | 12 |
| 1.732 | 11 |


The following is a simulated XRD peak list of Sr2CdPb. It was derived from a PBE-relaxed structure, using Cu Kα (weighted mean of Kα1 and Kα2).
Kinematic intensities with the Lorentz-polarization factor, no thermal factor.

Cell and atoms:
```
data_Sr2CdPb
_chemical_formula_sum 'Sr2 Cd1 Pb1'
_cell_length_a 5.796
_cell_length_b 5.796
_cell_length_c 5.796
_cell_angle_alpha 60.00
_cell_angle_beta 60.00
_cell_angle_gamma 60.00
_symmetry_space_group_name_H-M 'P 1'
_symmetry_Int_Tables_number 1
loop_
_symmetry_equiv_pos_as_xyz
'x,y,z'
loop_
_atom_site_label
_atom_site_type_symbol
_atom_site_fract_x
_atom_site_fract_y
_atom_site_fract_z
_atom_site_occupancy
Sr1 Sr 0.250 0.250 0.250 1
Sr2 Sr 0.750 0.750 0.750 1
Cd1 Cd 0.000 0.000 0.000 1
Pb1 Pb 0.500 0.500 0.500 1
```

The 12 most intense peaks (10 to 90 degrees two-theta), most intense first:
| d/Å | Rel. int. |
| --- | --- |
| 2.898 | 100 |
| 1.673 | 39 |
| 1.095 | 21 |
| 2.049 | 19 |
| 1.296 | 17 |
| 1.449 | 12 |
| 4.098 | 10 |
| 4.732 | 7 |
| 1.833 | 5 |
| 2.471 | 4 |
| 1.183 | 4 |
| 2.366 | 3 |


The following is a simulated XRD peak list of Cd4Te5Pb. It was derived from a PBE-relaxed structure, using Cu Kα (weighted mean of Kα1 and Kα2).
Kinematic intensities with the Lorentz-polarization factor, no thermal factor.

Cell and atoms:
```
data_Cd4Te5Pb
_chemical_formula_sum 'Cd4 Te5 Pb1'
_cell_length_a 12.829
_cell_length_b 12.829
_cell_length_c 12.829
_cell_angle_alpha 158.78
_cell_angle_beta 37.51
_cell_angle_gamma 149.44
_symmetry_space_group_name_H-M 'P 1'
_symmetry_Int_Tables_number 1
loop_
_symmetry_equiv_pos_as_xyz
'x,y,z'
loop_
_atom_site_label
_atom_site_type_symbol
_atom_site_fract_x
_atom_site_fract_y
_atom_site_fract_z
_atom_site_occupancy
Cd1 Cd 0.106 0.000 0.106 1
Cd2 Cd 0.295 0.998 0.296 1
Cd3 Cd 0.702 0.998 0.704 1
Cd4 Cd 0.894 0.000 0.894 1
Te1 Te 0.053 0.254 0.799 1
Te2 Te 0.201 0.201 0.000 1
Te3 Te 0.455 0.254 0.201 1
Te4 Te 0.648 0.258 0.390 1
Te5 Te 0.869 0.258 0.610 1
Pb1 Pb 0.503 0.003 0.500 1
```

The 12 most intense peaks (10 to 90 degrees two-theta), most intense first:
| d/Å | Rel. int. |
| --- | --- |
| 2.393 | 100 |
| 3.873 | 95 |
| 3.946 | 90 |
| 2.058 | 30 |
| 2.027 | 30 |
| 2.362 | 25 |
| 2.430 | 24 |
| 1.370 | 17 |
| 2.045 | 16 |
| 1.694 | 16 |
| 1.546 | 15 |
| 1.396 | 14 |


What did the third record say?
The following is a simulated XRD peak list of Sr2CdPb. It was derived from a PBE-relaxed structure, using Cu Kα (weighted mean of Kα1 and Kα2).
Kinematic intensities with the Lorentz-polarization factor, no thermal factor.

Cell and atoms:
```
data_Sr2CdPb
_chemical_formula_sum 'Sr2 Cd1 Pb1'
_cell_length_a 5.796
_cell_length_b 5.796
_cell_length_c 5.796
_cell_angle_alpha 60.00
_cell_angle_beta 60.00
_cell_angle_gamma 60.00
_symmetry_space_group_name_H-M 'P 1'
_symmetry_Int_Tables_number 1
loop_
_symmetry_equiv_pos_as_xyz
'x,y,z'
loop_
_atom_site_label
_atom_site_type_symbol
_atom_site_fract_x
_atom_site_fract_y
_atom_site_fract_z
_atom_site_occupancy
Sr1 Sr 0.250 0.250 0.250 1
Sr2 Sr 0.750 0.750 0.750 1
Cd1 Cd 0.000 0.000 0.000 1
Pb1 Pb 0.500 0.500 0.500 1
```

The 12 most intense peaks (10 to 90 degrees two-theta), most intense first:
| d/Å | Rel. int. |
| --- | --- |
| 2.898 | 100 |
| 1.673 | 39 |
| 1.095 | 21 |
| 2.049 | 19 |
| 1.296 | 17 |
| 1.449 | 12 |
| 4.098 | 10 |
| 4.732 | 7 |
| 1.833 | 5 |
| 2.471 | 4 |
| 1.183 | 4 |
| 2.366 | 3 |